Entry 1:
Structure and computed powder XRD pattern of LiCa3Au2 (a crystal structure in Alexandria, relaxed with PBE; Cu Kα).

```
LiCa3Au2
1.0
-3.101 7.979 3.193
3.101 -7.979 3.193
3.101 7.979 -3.193
Li Ca Au
2 6 4
Direct
0.250 0.250 0.000 Li
0.750 0.750 0.000 Li
0.181 0.240 0.421 Ca
0.250 0.750 0.500 Ca
0.319 0.740 0.059 Ca
0.681 0.260 0.941 Ca
0.750 0.250 0.500 Ca
0.819 0.760 0.579 Ca
0.124 0.758 0.882 Au
0.376 0.258 0.634 Au
0.624 0.742 0.366 Au
0.876 0.242 0.118 Au
```

The 6 most intense peaks (5 to 70 degrees two-theta), in order of rising 2θ:
- 22.3°, d = 3.989 Å, I = 324
- 22.9°, d = 3.886 Å, I = 1000
- 36.0°, d = 2.493 Å, I = 314
- 36.7°, d = 2.448 Å, I = 296
- 39.5°, d = 2.283 Å, I = 447
- 40.6°, d = 2.224 Å, I = 296

Entry 2:
Structure and computed powder XRD pattern of Ce4TeC2 (a crystal structure in Alexandria, relaxed with PBE; Cu Kα).

```
Ce4TeC2
1.0
-4.345 4.345 4.411
4.345 -4.345 4.411
4.345 4.345 -4.411
Ce Te C
8 2 4
Direct
0.220 0.311 0.591 Ce
0.220 0.628 0.909 Ce
0.311 0.220 0.091 Ce
0.372 0.780 0.591 Ce
0.628 0.220 0.409 Ce
0.689 0.780 0.909 Ce
0.780 0.372 0.091 Ce
0.780 0.689 0.409 Ce
0.125 0.875 0.250 Te
0.875 0.125 0.750 Te
0.000 0.500 0.500 C
0.500 0.000 0.000 C
0.500 0.500 0.000 C
0.500 0.500 0.500 C
```

The 6 most intense peaks (5 to 70 degrees two-theta), in order of rising 2θ:
- 20.4°, d = 4.345 Å, I = 833
- 28.8°, d = 3.095 Å, I = 1000
- 32.1°, d = 2.786 Å, I = 914
- 32.5°, d = 2.752 Å, I = 997
- 38.7°, d = 2.325 Å, I = 930
- 46.6°, d = 1.949 Å, I = 422

Entry 3:
Structure and computed powder XRD pattern of Na3GaH6 (a crystal structure in Alexandria, relaxed with PBE; Cu Kα).

```
Na3GaH6
1.0
5.311 0.000 0.000
0.000 5.567 0.000
-5.291 0.000 7.696
Na Ga H
6 2 12
Direct
0.000 0.000 0.000 Na
0.000 0.500 0.500 Na
0.259 0.053 0.746 Na
0.259 0.447 0.246 Na
0.741 0.553 0.754 Na
0.741 0.947 0.254 Na
0.500 0.000 0.500 Ga
0.500 0.500 0.000 Ga
0.177 0.051 0.282 H
0.177 0.449 0.782 H
0.269 0.668 0.045 H
0.269 0.832 0.545 H
0.408 0.229 0.068 H
0.408 0.271 0.568 H
0.592 0.729 0.432 H
0.592 0.771 0.932 H
0.731 0.168 0.455 H
0.731 0.332 0.955 H
0.823 0.551 0.218 H
0.823 0.949 0.718 H
```

The 6 most intense peaks (5 to 70 degrees two-theta), in order of rising 2θ:
- 19.7°, d = 4.511 Å, I = 241
- 23.1°, d = 3.844 Å, I = 256
- 32.2°, d = 2.784 Å, I = 241
- 32.9°, d = 2.719 Å, I = 1000
- 33.8°, d = 2.656 Å, I = 238
- 47.3°, d = 1.922 Å, I = 263

Entry 4:
Structure and computed powder XRD pattern of Sc4Te3As (a crystal structure in Alexandria, relaxed with PBE; Cu Kα).

```
Sc4Te3As
1.0
4.139 -5.808 0.000
4.139 5.808 0.000
0.000 0.000 4.062
Sc Te As
4 3 1
Direct
0.219 0.219 0.500 Sc
0.230 0.770 0.000 Sc
0.770 0.230 0.000 Sc
0.781 0.781 0.500 Sc
0.000 0.500 0.500 Te
0.500 0.000 0.500 Te
0.500 0.500 0.000 Te
0.000 0.000 0.000 As
```

The 6 most intense peaks (5 to 70 degrees two-theta), in order of rising 2θ:
- 26.4°, d = 3.371 Å, I = 196
- 26.8°, d = 3.329 Å, I = 180
- 30.8°, d = 2.901 Å, I = 1000
- 44.1°, d = 2.052 Å, I = 467
- 44.6°, d = 2.031 Å, I = 120
- 55.2°, d = 1.664 Å, I = 121